Simulated X-ray diffraction stick pattern of SmMgCd2 for Cu Kα X-rays, from a crystal structure in the Materials Project, relaxed with PBE.

Main lines, low angle first (10 to 80 degrees two-theta):
21.07 deg, I 22, hkl 1 1 1
24.38 deg, I 2, hkl 2 0 0
34.75 deg, I 100, hkl 2 2 0
41.00 deg, I 12, hkl 3 1 1
49.96 deg, I 17, hkl 4 0 0
54.80 deg, I 5, hkl 3 3 1
62.29 deg, I 35, hkl 4 2 2
66.54 deg, I 4, hkl 5 1 1
73.35 deg, I 11, hkl 4 4 0
77.31 deg, I 4, hkl 5 3 1

Crystal structure
abc: 7.302 7.302 7.302
angles: 90.00 90.00 90.00
Space group Fm-3m (No. 225)
Inequivalent atoms, fractional coordinates:
Sm1 0.000 0.000 0.000 (multiplicity 4)
Mg1 0.000 0.000 0.500 (multiplicity 4)
Cd1 0.250 0.250 0.250 (multiplicity 8)

Simulated X-ray diffraction stick pattern of SrMg6Cd for Cu Kα X-rays, from a crystal structure in the Materials Project, relaxed with PBE.

Main lines, low angle first (10 to 80 degrees two-theta):
14.92 deg, I 42, hkl 0 0 2
16.90 deg, I 34, hkl 1 0 0
22.61 deg, I 37, hkl 1 0 2
30.10 deg, I 19, hkl 0 0 4
30.70 deg, I 34, hkl 0 2 2
34.18 deg, I 34, hkl 2 0 0
34.71 deg, I 51, hkl 1 0 4
35.25 deg, I 100, hkl 1 2 2
46.60 deg, I 21, hkl 2 2 2
65.32 deg, I 26, hkl 2 2 6

Crystal structure
abc: 5.247 6.683 11.877
angles: 90.00 90.00 90.00
Space group Amm2 (No. 38)
Inequivalent atoms, fractional coordinates:
Sr1 0.000 0.000 0.000 (multiplicity 2)
Mg1 0.000 0.244 0.250 (multiplicity 4)
Mg2 0.500 0.000 0.173 (multiplicity 2)
Mg3 0.500 0.000 0.664 (multiplicity 2)
Mg4 0.500 0.236 0.411 (multiplicity 4)
Cd1 0.000 0.000 0.492 (multiplicity 2)

Simulated X-ray diffraction stick pattern of SrMg14Cd for Cu Kα X-rays, from a crystal structure in the Materials Project, relaxed with PBE.

Main lines, low angle first (10 to 80 degrees two-theta):
15.61 deg, I 34, hkl 1 0 0
22.99 deg, I 32, hkl 1 0 2
31.53 deg, I 29, hkl 2 0 0
33.91 deg, I 25, hkl 0 0 4
35.92 deg, I 100, hkl 2 0 2
46.98 deg, I 18, hkl 2 0 4
56.14 deg, I 17, hkl 2 2 0
61.98 deg, I 18, hkl 2 0 6
67.23 deg, I 19, hkl 2 2 4
68.47 deg, I 14, hkl 4 0 2

Crystal structure
abc: 6.5530 6.5530 10.5747
angles: 90.00 90.00 120.00
Space group P-6m2 (No. 187)
Inequivalent atoms, fractional coordinates:
Sr1 0.0000 0.0000 0.0000 (multiplicity 1)
Mg1 0.0117 0.5058 0.0000 (multiplicity 3)
Mg2 0.1704 0.3408 0.2626 (multiplicity 6)
Mg3 0.5014 0.0028 0.5000 (multiplicity 3)
Mg4 0.6667 0.3333 0.2446 (multiplicity 2)
Cd1 0.0000 0.0000 0.5000 (multiplicity 1)

Simulated X-ray diffraction stick pattern of SrMg14Cd for Cu Kα X-rays, from a crystal structure in the Materials Project, relaxed with PBE.

Main lines, low angle first (10 to 80 degrees two-theta):
17.72 deg, I 19, hkl 1 0 2
31.55 deg, I 28, hkl 0 0 4
32.68 deg, I 13, hkl 1 2 2
33.68 deg, I 26, hkl 4 0 0
35.88 deg, I 100, hkl 2 2 2
46.82 deg, I 18, hkl 4 0 4
56.18 deg, I 17, hkl 0 4 0
61.67 deg, I 19, hkl 6 2 2
67.13 deg, I 19, hkl 4 4 0
68.48 deg, I 14, hkl 2 0 8

Crystal structure
abc: 10.644 6.546 11.347
angles: 90.00 90.00 90.00
Space group Amm2 (No. 38)
Inequivalent atoms, fractional coordinates:
Sr1 0.000 0.000 0.000 (multiplicity 2)
Mg1 0.000 0.240 0.252 (multiplicity 4)
Mg2 0.244 0.000 0.665 (multiplicity 4)
Mg3 0.261 0.243 0.414 (multiplicity 8)
Mg4 0.262 0.000 0.170 (multiplicity 4)
Mg5 0.500 0.000 0.500 (multiplicity 2)
Mg6 0.500 0.000 0.999 (multiplicity 2)
Mg7 0.500 0.249 0.749 (multiplicity 4)
Cd1 0.000 0.000 0.491 (multiplicity 2)

Simulated X-ray diffraction stick pattern of SrMg6Cd for Cu Kα X-rays, from a crystal structure in the Materials Project, relaxed with PBE.

Main lines, low angle first (10 to 80 degrees two-theta):
15.03 deg, I 52, hkl 0 1 1
22.76 deg, I 35, hkl 1 0 2
30.35 deg, I 25, hkl 0 0 4
31.41 deg, I 22, hkl 1 1 3
34.33 deg, I 24, hkl 2 0 0
34.98 deg, I 100, hkl 1 2 2
46.47 deg, I 15, hkl 2 0 4
53.97 deg, I 12, hkl 0 2 6
61.91 deg, I 18, hkl 3 2 2
65.55 deg, I 13, hkl 2 2 6

Crystal structure
abc: 5.224 6.812 11.761
angles: 90.00 90.00 90.00
Space group Amm2 (No. 38)
Inequivalent atoms, fractional coordinates:
Sr1 0.000 0.000 0.000 (multiplicity 2)
Mg1 0.000 0.000 0.492 (multiplicity 2)
Mg2 0.000 0.244 0.250 (multiplicity 4)
Mg3 0.500 0.000 0.663 (multiplicity 2)
Mg4 0.500 0.234 0.407 (multiplicity 4)
Cd1 0.500 0.000 0.173 (multiplicity 2)

Simulated X-ray diffraction stick pattern of TbMgCd2 for Cu Kα X-rays, from a crystal structure in the Materials Project, relaxed with PBE.

Main lines, low angle first (10 to 80 degrees two-theta):
21.28 deg, I 24, hkl 1 1 1
24.62 deg, I 2, hkl 2 0 0
35.10 deg, I 100, hkl 2 2 0
41.41 deg, I 13, hkl 3 1 1
50.48 deg, I 17, hkl 4 0 0
55.37 deg, I 6, hkl 3 3 1
62.96 deg, I 35, hkl 4 2 2
67.27 deg, I 4, hkl 5 1 1
74.17 deg, I 11, hkl 4 4 0
78.19 deg, I 4, hkl 5 3 1

Crystal structure
abc: 7.232 7.232 7.232
angles: 90.00 90.00 90.00
Space group Fm-3m (No. 225)
Inequivalent atoms, fractional coordinates:
Tb1 0.000 0.000 0.000 (multiplicity 4)
Mg1 0.000 0.000 0.500 (multiplicity 4)
Cd1 0.250 0.250 0.250 (multiplicity 8)

Simulated X-ray diffraction stick pattern of Mg14TiCd for Cu Kα X-rays, from a crystal structure in the Materials Project, relaxed with PBE.

Main lines, low angle first (10 to 80 degrees two-theta):
16.11 deg, I 25, hkl 1 0 0
23.79 deg, I 18, hkl 1 0 2
32.54 deg, I 27, hkl 2 0 0
35.22 deg, I 25, hkl 0 0 4
37.13 deg, I 100, hkl 2 0 2
48.70 deg, I 17, hkl 2 0 4
58.06 deg, I 17, hkl 2 2 0
64.46 deg, I 18, hkl 2 0 6
69.76 deg, I 19, hkl 2 2 4
70.96 deg, I 13, hkl 4 0 2

Crystal structure
abc: 6.3546 6.3546 10.1935
angles: 90.00 90.00 120.00
Space group P-6m2 (No. 187)
Inequivalent atoms, fractional coordinates:
Mg1 0.0000 0.0000 0.2482 (multiplicity 2)
Mg2 0.0065 0.5032 0.2478 (multiplicity 6)
Mg3 0.3318 0.1659 0.5000 (multiplicity 3)
Mg4 0.3369 0.1685 0.0000 (multiplicity 3)
Ti1 0.3333 0.6667 0.0000 (multiplicity 1)
Cd1 0.3333 0.6667 0.5000 (multiplicity 1)

Simulated X-ray diffraction stick pattern of Mg6TiCd for Cu Kα X-rays, from a crystal structure in the Materials Project, relaxed with PBE.

Main lines, low angle first (10 to 80 degrees two-theta):
16.10 deg, I 34, hkl 0 0 2
16.25 deg, I 20, hkl 0 1 1
17.81 deg, I 26, hkl 1 0 0
24.09 deg, I 24, hkl 1 0 2
24.20 deg, I 19, hkl 1 1 1
32.84 deg, I 32, hkl 0 2 2
36.06 deg, I 36, hkl 2 0 0
37.32 deg, I 51, hkl 1 0 4
37.60 deg, I 100, hkl 1 2 2
49.56 deg, I 19, hkl 2 2 2

Crystal structure
abc: 4.981 6.280 11.010
angles: 90.00 90.00 90.00
Space group Amm2 (No. 38)
Inequivalent atoms, fractional coordinates:
Mg1 0.000 0.000 0.000 (multiplicity 2)
Mg2 0.000 0.000 0.496 (multiplicity 2)
Mg3 0.000 0.245 0.252 (multiplicity 4)
Mg4 0.500 0.247 0.585 (multiplicity 4)
Ti1 0.500 0.000 0.335 (multiplicity 2)
Cd1 0.500 0.000 0.833 (multiplicity 2)

Simulated X-ray diffraction stick pattern of Mg6TiCd for Cu Kα X-rays, from a crystal structure in the Materials Project, relaxed with PBE.

Main lines, low angle first (10 to 80 degrees two-theta):
16.16 deg, I 50, hkl 0 1 1
24.16 deg, I 31, hkl 1 0 2
32.65 deg, I 27, hkl 0 2 2
33.56 deg, I 17, hkl 1 1 3
36.11 deg, I 24, hkl 2 0 0
37.45 deg, I 100, hkl 1 0 4
49.47 deg, I 16, hkl 2 2 2
58.34 deg, I 11, hkl 0 2 6
65.82 deg, I 17, hkl 3 0 4
70.56 deg, I 12, hkl 2 2 6

Crystal structure
abc: 4.974 6.345 10.948
angles: 90.00 90.00 90.00
Space group Amm2 (No. 38)
Inequivalent atoms, fractional coordinates:
Mg1 0.000 0.000 0.000 (multiplicity 2)
Mg2 0.000 0.245 0.748 (multiplicity 4)
Mg3 0.500 0.000 0.168 (multiplicity 2)
Mg4 0.500 0.248 0.415 (multiplicity 4)
Ti1 0.500 0.000 0.666 (multiplicity 2)
Cd1 0.000 0.000 0.505 (multiplicity 2)

Simulated X-ray diffraction stick pattern of Mg14TiCd for Cu Kα X-rays, from a crystal structure in the Materials Project, relaxed with PBE.

Main lines, low angle first (10 to 80 degrees two-theta):
16.12 deg, I 13, hkl 0 0 2
18.35 deg, I 20, hkl 1 0 2
23.87 deg, I 11, hkl 2 0 2
32.64 deg, I 18, hkl 0 2 2
35.39 deg, I 25, hkl 4 0 0
37.23 deg, I 100, hkl 2 2 2
48.88 deg, I 17, hkl 4 0 4
58.10 deg, I 11, hkl 0 2 6
64.74 deg, I 18, hkl 6 2 2
69.90 deg, I 12, hkl 4 2 6

Crystal structure
abc: 10.146 6.330 11.011
angles: 90.00 90.00 90.00
Space group Amm2 (No. 38)
Inequivalent atoms, fractional coordinates:
Mg1 0.000 0.000 0.000 (multiplicity 2)
Mg2 0.000 0.000 0.500 (multiplicity 2)
Mg3 0.000 0.250 0.250 (multiplicity 4)
Mg4 0.252 0.000 0.164 (multiplicity 4)
Mg5 0.252 0.000 0.667 (multiplicity 4)
Mg6 0.254 0.246 0.918 (multiplicity 8)
Mg7 0.500 0.247 0.251 (multiplicity 4)
Ti1 0.500 0.000 0.001 (multiplicity 2)
Cd1 0.500 0.000 0.498 (multiplicity 2)

Simulated X-ray diffraction stick pattern of Tm2MgCd for Cu Kα X-rays, from a crystal structure in the Materials Project, relaxed with PBE.

Main lines, low angle first (10 to 80 degrees two-theta):
20.66 deg, I 8, hkl 1 1 1
23.91 deg, I 20, hkl 2 0 0
34.06 deg, I 100, hkl 2 2 0
40.17 deg, I 4, hkl 3 1 1
42.04 deg, I 6, hkl 2 2 2
48.94 deg, I 18, hkl 4 0 0
55.17 deg, I 9, hkl 4 2 0
60.97 deg, I 37, hkl 4 2 2
71.72 deg, I 11, hkl 4 4 0
76.82 deg, I 4, hkl 6 0 0

Crystal structure
abc: 7.445 7.445 7.445
angles: 90.00 90.00 90.00
Space group Fm-3m (No. 225)
Inequivalent atoms, fractional coordinates:
Tm1 0.250 0.250 0.250 (multiplicity 8)
Mg1 0.000 0.000 0.000 (multiplicity 4)
Cd1 0.000 0.000 0.500 (multiplicity 4)

Simulated X-ray diffraction stick pattern of Mg14VCd for Cu Kα X-rays, from a crystal structure in the Materials Project, relaxed with PBE.

Main lines, low angle first (10 to 80 degrees two-theta):
16.19 deg, I 26, hkl 1 0 0
23.87 deg, I 19, hkl 1 0 2
32.71 deg, I 27, hkl 2 0 0
35.28 deg, I 26, hkl 0 0 4
37.30 deg, I 100, hkl 2 0 2
48.87 deg, I 17, hkl 2 0 4
58.38 deg, I 17, hkl 2 2 0
64.65 deg, I 18, hkl 2 0 6
70.08 deg, I 19, hkl 2 2 4
71.35 deg, I 14, hkl 4 0 2

Crystal structure
abc: 6.3232 6.3232 10.1752
angles: 90.00 90.00 120.00
Space group P-6m2 (No. 187)
Inequivalent atoms, fractional coordinates:
Mg1 0.0000 0.0000 0.2502 (multiplicity 2)
Mg2 0.0056 0.5028 0.2476 (multiplicity 6)
Mg3 0.3323 0.1662 0.5000 (multiplicity 3)
Mg4 0.3350 0.1675 0.0000 (multiplicity 3)
V1 0.3333 0.6667 0.0000 (multiplicity 1)
Cd1 0.3333 0.6667 0.5000 (multiplicity 1)